# Zr3CSe3
Simulated powder diffraction line list, a wavelength of 1.5418 Å. Input: DFT lattice parameters and positions (GGA-PBE).
Kinematic intensities with the Lorentz-polarization factor, no thermal factor.

Main lines, low angle first (2θ from 10° to 90°):
- 28.80°, intensity 7, (1 1 -1)
- 32.58°, intensity 9, (1 1 2)
- 34.45°, intensity 100, (2 1 0)
- 35.96°, intensity 9, (0 1 3)
- 48.21°, intensity 9, (4 0 0)
- 49.29°, intensity 20, (2 1 -4)
- 49.72°, intensity 19, (2 1 4)
- 50.79°, intensity 13, (0 2 0)
- 62.82°, intensity 11, (0 2 4)
- 72.62°, intensity 7, (4 2 0)

Crystal structure
Lattice parameters (Å, degrees): 7.5508 3.5949 10.4182 90.00 90.67 90.00
Fractional positions:
Zr 0.0970 0.2500 0.3913
Zr 0.1156 0.2500 0.8422
Zr 0.3212 0.7500 0.6194
Zr 0.6788 0.2500 0.3806
Zr 0.8844 0.7500 0.1578
Zr 0.9030 0.7500 0.6087
C 0.1189 0.2500 0.6213
C 0.8811 0.7500 0.3787
Se 0.1450 0.2500 0.1255
Se 0.3744 0.7500 0.8727
Se 0.3805 0.7500 0.3644
Se 0.6195 0.2500 0.6356
Se 0.6256 0.2500 0.1273
Se 0.8550 0.7500 0.8745